This entry pairs a crystal structure of Fe5Ag with its calculated powder X-ray diffraction pattern. Radiation: Cu Kα (weighted mean of Kα1 and Kα2). Structure: a GGA-PBE-relaxed structure.

Main lines, most intense first (2θ from 15° to 90°):
d [Å]  2θ/deg  Rel. int.
2.029  44.7  100
2.379  37.8  41
1.942  46.8  29
1.295  73.1  28
1.189  80.8  22
1.373  68.3  13
3.364  26.5  5
3.885  22.9  4

Crystal structure
```
6
Lattice="0.0000 3.3641 3.3641 3.3641 0.0000 3.3641 3.3641 3.3641 0.0000" Properties=species:S:1:pos:R:3 pbc="T T T"
Fe 0.0000 0.0000 0.0000
Fe 2.5187 2.5187 2.5187
Fe 4.2095 4.2095 2.5187
Fe 4.2095 2.5187 4.2095
Fe 2.5187 4.2095 4.2095
Ag 5.0461 5.0461 5.0461
```